This entry pairs a crystal structure of WSeO2 with its calculated X-ray powder pattern. Radiation: CuKα. Structure: a DFT-relaxed cell (PBE+U, Alexandria).
Peak positions follow from Bragg's law for the DFT cell and can differ from measured ones.

Structure:
Unit cell a=3.1346 b=3.1346 c=30.5192 alpha=90.00 beta=90.00 gamma=120.00
Sites, in units of the cell vectors:
W: 0.0000 0.0000 0.0000
W: 0.3333 0.6667 0.6667
W: 0.6667 0.3333 0.3333
Se: 0.0000 0.0000 0.5000
Se: 0.3333 0.6667 0.1667
Se: 0.6667 0.3333 0.8333
O: 0.0000 0.0000 0.3677
O: 0.0000 0.0000 0.6323
O: 0.3333 0.6667 0.0343
O: 0.3333 0.6667 0.2990
O: 0.6667 0.3333 0.7010
O: 0.6667 0.3333 0.9657

Main lines, most intense first (5 to 70 degrees two-theta):
(0 0 3), d 10.173, 8.69 deg, intensity 100; (0 0 6), d 5.087, 17.43 deg, intensity 100; (0 1 2), d 2.673, 33.53 deg, intensity 54; (0 1 8), d 2.212, 40.80 deg, intensity 40; (1 0 4), d 2.558, 35.09 deg, intensity 37; (1 0 10), d 2.028, 44.68 deg, intensity 22; (1 1 6), d 1.498, 61.96 deg, intensity 21; (0 1 14), d 1.700, 53.94 deg, intensity 16; (1 1 0), d 1.567, 58.93 deg, intensity 13; (0 0 12), d 2.543, 35.29 deg, intensity 13